(1)
For LiSm2Mg8, DFT lattice parameters and positions (GGA-PBE) gives the computed powder X-ray diffraction pattern in this record (Cu Kα (weighted mean of Kα1 and Kα2)).

Structural model:
```
data_LiSm2Mg8
_chemical_formula_sum 'Li2 Sm4 Mg16'
_symmetry_space_group_name_H-M 'C 1 2/m 1'
_symmetry_Int_Tables_number 12
_symmetry_space_group_name_Hall '-C 2y'
_cell_length_a 16.390
_cell_length_b 4.995
_cell_length_c 6.803
_cell_angle_alpha 90.00
_cell_angle_beta 102.12
_cell_angle_gamma 90.00
loop_
_atom_site_label
_atom_site_fract_x
_atom_site_fract_y
_atom_site_fract_z
Li1 0.000 0.000 0.000
Sm1 0.220 0.500 0.657
Mg1 0.025 0.500 0.733
Mg2 0.088 0.000 0.429
Mg3 0.147 0.500 0.146
Mg4 0.158 0.000 0.883
```

Peak list (10 most intense, 5 to 70 degrees two-theta, low angle first)
- 2θ = 11.04°, I 1000, hkl 2 0 0
- 2θ = 13.31°, I 244, hkl 0 0 1
- 2θ = 22.24°, I 419, hkl 1 1 -1
- 2θ = 23.63°, I 265, hkl 1 1 1
- 2θ = 26.12°, I 375, hkl 3 1 -1
- 2θ = 31.83°, I 212, hkl 1 1 -2
- 2θ = 33.21°, I 265, hkl 5 1 0
- 2θ = 33.57°, I 587, hkl 5 1 -1
- 2θ = 33.81°, I 690, hkl 1 1 2
- 2θ = 35.96°, I 296, hkl 0 2 0


(2)
For PmTl2AgSb2, DFT lattice parameters and positions (GGA-PBE) gives the computed powder X-ray diffraction pattern in this record (Cu Kα (weighted mean of Kα1 and Kα2)).

Structural model:
```
data_PmTl2AgSb2
_chemical_formula_sum 'Pm2 Tl4 Ag2 Sb4'
_symmetry_space_group_name_H-M 'P m c 21'
_symmetry_Int_Tables_number 26
_symmetry_space_group_name_Hall 'P 2c -2'
_cell_length_a 4.745
_cell_length_b 10.228
_cell_length_c 7.532
_cell_angle_alpha 90.00
_cell_angle_beta 90.00
_cell_angle_gamma 90.00
loop_
_atom_site_label
_atom_site_fract_x
_atom_site_fract_y
_atom_site_fract_z
Pm1 0.000 0.035 0.000
Tl1 0.000 0.363 0.348
Tl2 0.500 0.380 0.007
Ag1 0.500 0.149 0.666
Sb1 0.000 0.283 0.753
Sb2 0.500 0.119 0.275
```

Peak list (10 most intense, 5 to 70 degrees two-theta, low angle first)
- 2θ = 28.26°, I 1000, hkl 1 2 1
- 2θ = 28.74°, I 191, hkl 0 3 1
- 2θ = 29.46°, I 157, hkl 0 2 2
- 2θ = 31.57°, I 822, hkl 1 1 2
- 2θ = 32.33°, I 276, hkl 1 3 0
- 2θ = 35.11°, I 272, hkl 0 4 0
- 2θ = 36.86°, I 230, hkl 0 1 3
- 2θ = 37.93°, I 432, hkl 2 0 0
- 2θ = 40.04°, I 219, hkl 1 4 0
- 2θ = 64.53°, I 304, hkl 1 4 4